Diffraction record for LiTmCu. The powder X-ray diffraction pattern is calculated, not measured: it uses the PBE geometry in Alexandria and Cu Kα (λ = 1.5418 Å).
No peak broadening, texture or thermal motion is included.

Main lines, in order of rising 2θ (10° ≤ 2θ ≤ 80°):
two_theta	I (rel.)	h k l
18.55	88.8	1 0 -2
24.09	100.0	0 1 1
26.04	84.1	2 0 1
31.51	75.3	1 0 4
34.10	69.7	2 1 0
37.37	67.4	2 1 2

Structural model:
a b c (Å): 7.175 3.866 12.530
angles (deg): 90.00 91.60 90.00
Space group P2_1/m (No. 11)
Inequivalent atoms, fractional coordinates:
Li: 0.010 0.250 0.079 x2
Li: 0.126 0.750 0.538 x2
Li: 0.376 0.250 0.201 x2
Tm: 0.058 0.750 0.285 x2
Tm: 0.340 0.250 0.914 x2
Tm: 0.453 0.250 0.624 x2
Cu: 0.238 0.750 0.750 x2
Cu: 0.257 0.250 0.417 x2
Cu: 0.258 0.750 0.082 x2